Record 1
This entry pairs a crystal structure of PmPr3Ho4 with its calculated powder diffractogram. Radiation: Cu Kα. Structure: a crystal structure in Alexandria, relaxed with PBE.
No peak broadening, texture or thermal motion is included.

Main lines, by intensity (2θ from 10° to 90°):
2θ/deg, I_rel
30.31, 100
50.55, 36
35.18, 34
60.13, 29
35.07, 17
59.99, 14
63.05, 12
82.24, 12
84.98, 11
82.37, 6

Cell and atoms:
```
16
Lattice="10.2347 0.0000 0.0000 0.0000 7.2173 0.0000 0.0000 0.0000 7.2147" Properties=species:S:1:pos:R:3 pbc="T T T"
Pm 0.0000 0.0000 0.0000
Pm 5.1174 0.0000 3.6073
Pr 0.0000 3.6087 3.6073
Pr 2.5587 1.7962 1.8037
Pr 2.5587 5.4212 5.4110
Pr 5.1174 3.6087 0.0000
Pr 7.6760 1.7962 1.8037
Pr 7.6760 5.4212 5.4110
Ho 0.0000 0.0000 3.6073
Ho 0.0000 3.6087 0.0000
Ho 2.5587 1.8020 5.4110
Ho 2.5587 5.4154 1.8037
Ho 5.1174 0.0000 0.0000
Ho 5.1174 3.6087 3.6073
Ho 7.6760 1.8020 5.4110
Ho 7.6760 5.4154 1.8037
```

Record 2
This entry pairs a crystal structure of SrTlB12 with its calculated powder diffractogram. Radiation: Cu Kα. Structure: a crystal structure in Alexandria, relaxed with PBE.
No peak broadening, texture or thermal motion is included.

Main lines, by intensity (2θ from 10° to 90°):
2θ/deg, I_rel
29.89, 100
21.01, 63
48.12, 50
36.82, 42
18.17, 29
66.33, 29
53.06, 28
42.78, 22
70.43, 21
86.04, 18

Cell and atoms:
```
14
Lattice="0.0000 4.2278 4.2278 4.2278 0.0000 4.2278 4.2278 4.2278 0.0000" Properties=species:S:1:pos:R:3 pbc="T T T"
Sr 0.0000 0.0000 0.0000
Tl 4.2278 4.2278 4.2278
B 2.1139 2.1139 0.8512
B 2.1139 0.8512 2.1139
B 3.3766 2.1139 2.1139
B 0.8512 2.1139 2.1139
B 2.1139 3.3766 2.1139
B 2.1139 2.1139 3.3766
B 6.3418 6.3418 5.0791
B 6.3418 5.0791 6.3418
B 7.6045 6.3418 6.3418
B 5.0791 6.3418 6.3418
B 6.3418 7.6045 6.3418
B 6.3418 6.3418 7.6045
```

Record 3
This entry pairs a crystal structure of Er3ZnO with its calculated powder diffractogram. Radiation: Cu Kα. Structure: a crystal structure in Alexandria, relaxed with PBE.
No peak broadening, texture or thermal motion is included.

Main lines, by intensity (2θ from 10° to 90°):
2θ/deg, I_rel
33.24, 100
38.57, 56
66.41, 41
55.69, 38
69.78, 13
19.01, 12
82.68, 6
43.34, 6
27.01, 5
59.39, 3

Cell and atoms:
```
5
Lattice="4.6687 0.0000 0.0000 0.0000 4.6687 0.0000 0.0000 0.0000 4.6687" Properties=species:S:1:pos:R:3 pbc="T T T"
Er 0.0000 0.0000 2.3343
Er 0.0000 2.3343 0.0000
Er 2.3343 0.0000 0.0000
Zn 2.3343 2.3343 2.3343
O 0.0000 0.0000 0.0000
```

Record 4
This entry pairs a crystal structure of Ac2DyPd6Pb3 with its calculated powder diffractogram. Radiation: Cu Kα. Structure: a crystal structure in Alexandria, relaxed with PBE.
No peak broadening, texture or thermal motion is included.

Main lines, by intensity (2θ from 10° to 90°):
2θ/deg, I_rel
43.96, 100
25.79, 99
38.95, 87
31.06, 63
30.69, 62
23.54, 44
63.92, 39
39.75, 35
42.14, 32
28.68, 32

Cell and atoms:
```
12
Lattice="4.1199 0.0000 0.0000 0.0000 4.1199 0.0000 0.0000 0.0000 19.0099" Properties=species:S:1:pos:R:3 pbc="T T T"
Ac 0.0000 0.0000 2.1978
Ac 0.0000 0.0000 16.8121
Dy 0.0000 0.0000 9.5050
Pd 0.0000 2.0599 7.5100
Pd 0.0000 2.0599 11.4999
Pd 2.0599 0.0000 7.5100
Pd 2.0599 0.0000 11.4999
Pd 2.0599 2.0599 2.9450
Pd 2.0599 2.0599 16.0649
Pb 2.0599 2.0599 0.0000
Pb 2.0599 2.0599 5.6432
Pb 2.0599 2.0599 13.3667
```

Record 5
This entry pairs a crystal structure of Dy3HgRh8 with its calculated powder diffractogram. Radiation: Cu Kα. Structure: a crystal structure in Alexandria, relaxed with PBE.
No peak broadening, texture or thermal motion is included.

Main lines, by intensity (2θ from 10° to 90°):
2θ/deg, I_rel
39.82, 100
39.68, 32
64.49, 31
33.81, 30
33.67, 29
41.70, 25
71.12, 17
60.42, 17
70.78, 16
41.45, 9

Cell and atoms:
```
12
Lattice="2.6511 1.5306 8.7131 -2.6511 1.5306 8.7131 0.0000 -3.0613 8.7131" Properties=species:S:1:pos:R:3 pbc="T T T"
Dy 0.0000 0.0000 0.0000
Dy 0.0000 0.0000 3.3778
Dy 0.0000 0.0000 13.3436
Hg 0.0000 0.0000 16.5209
Rh 0.0000 -1.5257 6.1041
Rh -1.3213 0.7628 6.1041
Rh -1.3236 -0.7642 10.4803
Rh 0.0000 0.0000 8.2889
Rh 1.3213 0.7628 6.1041
Rh 1.3236 -0.7642 10.4803
Rh 0.0000 1.5284 10.4803
Rh 0.0000 0.0000 21.3584
```